(1)
The following is a calculated powder X-ray diffraction pattern of KHgH2I3O. It was derived from the GGA-PBE geometry in OQMD, using Cu Kα.
Peak positions follow from Bragg's law for the DFT cell and can differ from measured ones.

Crystal structure
```
KHgH2I3O
1.0
8.7081 0.0000 0.0000
0.0000 9.2992 0.0000
0.0000 0.0000 11.6218
K Hg H I O
4 4 8 12 4
direct
0.0499 0.1665 0.0000
0.4501 0.6665 0.5000
0.5499 0.3335 0.0000
0.9501 0.8335 0.5000
0.2434 0.6990 0.1434
0.2566 0.1990 0.6434
0.7434 0.8010 0.1434
0.7566 0.3010 0.6434
0.1059 0.5150 0.4682
0.1274 0.5563 0.5958
0.3726 0.0563 0.0958
0.3941 0.0150 0.9682
0.6059 0.9850 0.4682
0.6274 0.9437 0.5958
0.8726 0.4437 0.0958
0.8941 0.4850 0.9682
0.0028 0.7713 0.9811
0.2349 0.4276 0.7995
0.2435 0.4137 0.2100
0.2565 0.9137 0.7100
0.2651 0.9276 0.2995
0.4972 0.2713 0.4811
0.5028 0.7287 0.9811
0.7349 0.0724 0.7995
0.7435 0.0863 0.2100
0.7565 0.5863 0.7100
0.7651 0.5724 0.2995
0.9972 0.2287 0.4811
0.1409 0.5941 0.5176
0.3591 0.0941 0.0176
0.6409 0.9059 0.5176
0.8591 0.4059 0.0176
```

Top 10 peaks for 10 to 90 degrees two-theta, low angle first:
12.19°, d 7.261, intensity 100
20.40°, d 4.354, intensity 34
24.52°, d 3.630, intensity 33
25.56°, d 3.484, intensity 100
26.60°, d 3.351, intensity 39
26.95°, d 3.308, intensity 47
29.83°, d 2.995, intensity 26
32.39°, d 2.764, intensity 28
42.14°, d 2.144, intensity 26
42.74°, d 2.116, intensity 39

---

(2)
The following is a calculated powder X-ray diffraction pattern of RbHgH2I3O. It was derived from the GGA-PBE geometry in OQMD, using Cu Kα.
Peak positions follow from Bragg's law for the DFT cell and can differ from measured ones.

Crystal structure
```
RbHgH2I3O
1.0
5.5493 -5.0511 0.0000
5.5493 5.0511 0.0000
-0.0546 0.0000 8.8441
Rb Hg H I O
2 2 4 6 2
direct
0.1343 0.8657 0.5000
0.8657 0.1343 0.0000
0.5748 0.6456 0.8262
0.6456 0.5748 0.3262
0.0637 0.7766 0.1290
0.2339 0.8771 0.1235
0.7766 0.0637 0.6290
0.8771 0.2339 0.6235
0.3958 0.9869 0.8426
0.4402 0.4444 0.5786
0.4444 0.4402 0.0786
0.6135 0.9482 0.3434
0.9482 0.6135 0.8434
0.9869 0.3958 0.3426
0.1166 0.8799 0.1724
0.8799 0.1166 0.6724
```

Top 10 peaks for 10 to 90 degrees two-theta, low angle first:
11.85°, d 7.471, intensity 100
20.08°, d 4.422, intensity 31
23.36°, d 3.808, intensity 47
23.82°, d 3.735, intensity 36
25.68°, d 3.469, intensity 43
25.87°, d 3.444, intensity 97
27.67°, d 3.224, intensity 73
32.67°, d 2.741, intensity 33
37.00°, d 2.429, intensity 31
41.68°, d 2.167, intensity 46

---

(3)
The following is a calculated powder X-ray diffraction pattern of RbHgH2I3O. It was derived from the GGA-PBE geometry in OQMD, using Cu Kα.
Peak positions follow from Bragg's law for the DFT cell and can differ from measured ones.

Crystal structure
```
RbHgH2I3O
1.0
8.8308 0.0000 0.0000
0.0000 7.5398 0.0000
-0.0144 0.0000 14.9663
Rb Hg H I O
4 4 8 12 4
direct
0.0000 0.0198 0.0000
0.0000 0.9802 0.5000
0.5039 0.2074 0.3715
0.5039 0.7926 0.8715
0.3091 0.2833 0.7179
0.3091 0.7167 0.2179
0.8083 0.3124 0.7346
0.8083 0.6876 0.2346
0.1124 0.2027 0.3226
0.1124 0.7973 0.8226
0.1562 0.3497 0.3908
0.1562 0.6503 0.8908
0.5957 0.0432 0.0478
0.5957 0.9568 0.5478
0.6639 0.1587 0.9717
0.6639 0.8413 0.4717
0.0601 0.4580 0.6293
0.0601 0.5420 0.1293
0.3142 0.3299 0.9027
0.3142 0.6701 0.4027
0.3393 0.0611 0.1506
0.3393 0.9389 0.6506
0.5655 0.4677 0.6340
0.5655 0.5323 0.1340
0.8138 0.4509 0.9085
0.8138 0.5491 0.4085
0.8434 0.0576 0.2369
0.8434 0.9424 0.7369
0.1653 0.2219 0.3794
0.1653 0.7781 0.8794
0.6595 0.0359 0.9941
0.6595 0.9641 0.4941
```

Top 10 peaks for 10 to 90 degrees two-theta, low angle first:
11.81°, d 7.493, intensity 93
13.15°, d 6.734, intensity 90
20.11°, d 4.415, intensity 41
23.39°, d 3.803, intensity 62
24.10°, d 3.692, intensity 74
24.35°, d 3.656, intensity 69
26.25°, d 3.395, intensity 100
31.34°, d 2.854, intensity 44
41.57°, d 2.172, intensity 39
43.13°, d 2.097, intensity 38

---

(4)
The following is a calculated powder X-ray diffraction pattern of Rb2NaHgH6. It was derived from the GGA-PBE geometry in OQMD, using Cu Kα.
Peak positions follow from Bragg's law for the DFT cell and can differ from measured ones.

Crystal structure
```
Rb2NaHgH6
1.0
-2.9404 2.9404 4.5495
2.9404 -2.9404 4.5495
2.9404 2.9404 -4.5495
Rb Na Hg H
2 1 1 6
direct
0.2500 0.7500 0.5000
0.7500 0.2500 0.5000
0.0000 0.0000 0.0000
0.5000 0.5000 0.0000
0.2439 0.2439 0.0000
0.2740 0.7107 0.9847
0.2893 0.2740 0.5633
0.7107 0.7260 0.4367
0.7260 0.2893 0.0153
0.7561 0.7561 0.0000
```

Top 10 peaks for 10 to 90 degrees two-theta, low angle first:
17.96°, d 4.939, intensity 61
29.09°, d 3.069, intensity 100
30.40°, d 2.940, intensity 45
33.24°, d 2.696, intensity 14
35.53°, d 2.527, intensity 23
43.53°, d 2.079, intensity 17
45.66°, d 1.987, intensity 12
50.74°, d 1.799, intensity 21
53.21°, d 1.721, intensity 37
60.31°, d 1.535, intensity 13

---

(5)
The following is a calculated powder X-ray diffraction pattern of Hg2P2H4O9. It was derived from the GGA-PBE geometry in OQMD, using Cu Kα.
Peak positions follow from Bragg's law for the DFT cell and can differ from measured ones.

Crystal structure
```
Hg2P2H4O9
1.0
6.8322 0.0000 0.0000
2.1787 7.0420 0.0000
2.0233 0.1869 7.6493
Hg P H O
4 4 8 18
direct
0.1985 0.2210 0.0279
0.2508 0.6476 0.2544
0.7492 0.3524 0.7456
0.8015 0.7790 0.9721
0.2270 0.5234 0.6833
0.3285 0.7966 0.8481
0.6715 0.2034 0.1519
0.7730 0.4766 0.3167
0.1756 0.2762 0.5080
0.1914 0.0994 0.6394
0.1995 0.0421 0.3771
0.4279 0.9666 0.2512
0.5721 0.0334 0.7488
0.8005 0.9579 0.6229
0.8086 0.9006 0.3606
0.8244 0.7238 0.4920
0.0086 0.4453 0.2302
0.1163 0.1661 0.5476
0.1490 0.7770 0.0076
0.2749 0.7278 0.6806
0.2765 0.9760 0.2610
0.2796 0.4662 0.4931
0.3189 0.0071 0.7987
0.3681 0.3811 0.7870
0.4555 0.3194 0.1316
0.5445 0.6806 0.8684
0.6319 0.6189 0.2130
0.6811 0.9929 0.2013
0.7204 0.5338 0.5069
0.7235 0.0240 0.7390
0.7251 0.2722 0.3194
0.8510 0.2230 0.9924
0.8837 0.8339 0.4524
0.9914 0.5547 0.7698
```

Top 10 peaks for 10 to 90 degrees two-theta, low angle first:
11.57°, d 7.649, intensity 100
21.82°, d 4.072, intensity 38
25.08°, d 3.550, intensity 42
25.27°, d 3.524, intensity 63
27.64°, d 3.228, intensity 68
28.16°, d 3.169, intensity 74
29.38°, d 3.040, intensity 58
31.26°, d 2.861, intensity 40
31.69°, d 2.823, intensity 42
43.31°, d 2.089, intensity 37

---

(6)
The following is a calculated powder X-ray diffraction pattern of Hg3H4S2O11. It was derived from the GGA-PBE geometry in OQMD, using Cu Kα.
Peak positions follow from Bragg's law for the DFT cell and can differ from measured ones.

Crystal structure
```
Hg3H4S2O11
1.0
3.5128 -4.4768 0.0000
3.5128 4.4768 0.0000
-2.2785 0.0000 14.2076
Hg H S O
6 8 4 22
direct
0.0000 0.5000 0.5000
0.1798 0.3086 0.1527
0.3086 0.1798 0.6527
0.5000 0.0000 0.0000
0.6914 0.8202 0.3473
0.8202 0.6914 0.8473
0.1055 0.7158 0.3481
0.1428 0.6654 0.7107
0.2842 0.8945 0.1519
0.3346 0.8572 0.7893
0.6654 0.1428 0.2107
0.7158 0.1055 0.8481
0.8572 0.3346 0.2893
0.8945 0.2842 0.6519
0.1889 0.3680 0.8963
0.3680 0.1889 0.3963
0.6320 0.8111 0.6037
0.8111 0.6320 0.1037
0.0524 0.3937 0.6414
0.0570 0.6378 0.1619
0.1351 0.1415 0.4379
0.1415 0.1351 0.9379
0.1723 0.8277 0.7500
0.2484 0.5774 0.9704
0.3622 0.9430 0.3381
0.3761 0.3821 0.8315
0.3821 0.3761 0.3315
0.3937 0.0524 0.1414
0.4226 0.7516 0.5296
0.5774 0.2484 0.4704
0.6063 0.9476 0.8586
0.6179 0.6239 0.6685
0.6239 0.6179 0.1685
0.6378 0.0570 0.6619
0.7516 0.4226 0.0296
0.8277 0.1723 0.2500
0.8585 0.8649 0.0621
0.8649 0.8585 0.5621
0.9430 0.3622 0.8381
0.9476 0.6063 0.3586
```

Top 10 peaks for 10 to 90 degrees two-theta, low angle first:
19.17°, d 4.630, intensity 53
21.68°, d 4.100, intensity 43
23.23°, d 3.829, intensity 67
23.49°, d 3.787, intensity 37
25.68°, d 3.469, intensity 100
26.36°, d 3.381, intensity 50
32.17°, d 2.782, intensity 48
32.88°, d 2.724, intensity 43
33.68°, d 2.661, intensity 66
44.20°, d 2.049, intensity 38